Entry 1:
For Y2Lu4Cu3N3, a DFT-relaxed cell (PBE, OQMD) gives the calculated X-ray diffraction stick pattern in this record (Cu Kα (weighted mean of Kα1 and Kα2)).
Neutral-atom scattering factors, no anomalous dispersion.

Cell and atoms:
abc: 10.0605 5.8002 14.7250
angles: 90.00 103.69 90.00
Space group C2/c (No. 15)
Inequivalent atoms, fractional coordinates:
Y  0.0436  0.0826  0.3883 x8
Lu  0.1136  0.4109  0.5889 x8
Lu  0.2224  0.4184  0.9111 x8
Cu  0.0000  0.4282  0.7500 x4
Cu  0.2420  0.1563  0.7501 x8
N  0.0846  0.2536  0.9999 x8
N  0.2500  0.2500  0.5000 x4

Main lines, in order of rising 2θ (2θ from 15° to 90°):
d = 4.988 Å, rel. 28, hkl 1 1 0
d = 2.902 Å, rel. 51, hkl 3 1 -1
d = 2.844 Å, rel. 79, hkl 0 2 1
d = 2.489 Å, rel. 99, hkl 3 1 -4
d = 2.478 Å, rel. 100, hkl 0 2 3
d = 2.471 Å, rel. 96, hkl 3 1 2
d = 2.384 Å, rel. 59, hkl 0 0 6
d = 1.676 Å, rel. 61, hkl 6 0 -2

=====

Entry 2:
For LuCuPbSe3, a DFT-relaxed cell (PBE, OQMD) gives the calculated X-ray diffraction stick pattern in this record (Cu Kα (weighted mean of Kα1 and Kα2)).
Neutral-atom scattering factors, no anomalous dispersion.

Cell and atoms:
abc: 10.4310 4.0234 13.5755
angles: 90.00 90.00 90.00
Space group Pnma (No. 62)
Inequivalent atoms, fractional coordinates:
Lu  0.0053  0.2500  0.2474 x4
Cu  0.2444  0.2500  0.7179 x4
Pb  0.2411  0.7500  0.5058 x4
Se  0.0533  0.2500  0.6124 x4
Se  0.0677  0.7500  0.1099 x4
Se  0.2457  0.7500  0.8282 x4

Main lines, in order of rising 2θ (2θ from 15° to 90°):
d = 4.136 Å, rel. 52, hkl 2 0 2
d = 2.889 Å, rel. 88, hkl 1 1 3
d = 2.606 Å, rel. 100, hkl 4 0 0
d = 2.583 Å, rel. 35, hkl 3 1 1
d = 2.076 Å, rel. 32, hkl 2 0 6
d = 2.067 Å, rel. 40, hkl 4 0 4
d = 2.012 Å, rel. 30, hkl 0 2 0
d = 1.714 Å, rel. 23, hkl 5 1 3